# 1
This entry pairs a crystal structure of ErGe3Ru3 with its calculated powder X-ray diffraction pattern. Radiation: Cu Kα (weighted mean of Kα1 and Kα2). Structure: the GGA-PBE geometry in Alexandria.

Structural model:
a b c (Å): 6.6619 6.6619 6.6619
angles (deg): 90.00 90.00 90.00
Fractional coordinates of all 14 atoms:
1 Er 0.0000 0.0000 0.0000
2 Er 0.5000 0.5000 0.5000
3 Ge 0.0000 0.2500 0.5000
4 Ge 0.0000 0.7500 0.5000
5 Ge 0.2500 0.5000 0.0000
6 Ge 0.5000 0.0000 0.2500
7 Ge 0.5000 0.0000 0.7500
8 Ge 0.7500 0.5000 0.0000
9 Ru 0.0000 0.5000 0.2500
10 Ru 0.0000 0.5000 0.7500
11 Ru 0.2500 0.0000 0.5000
12 Ru 0.5000 0.2500 0.0000
13 Ru 0.5000 0.7500 0.0000
14 Ru 0.7500 0.0000 0.5000

Most intense lines, 2θ from 15° to 90°, low angle first:
Position (°2θ)	I/Imax
26.76	43
32.93	100
47.27	14
51.31	57
55.15	24
62.33	16
65.75	13
78.67	16
81.78	15
87.95	8

# 2
This entry pairs a crystal structure of FeAgP4 with its calculated powder X-ray diffraction pattern. Radiation: Cu Kα (weighted mean of Kα1 and Kα2). Structure: the GGA-PBE geometry in Alexandria.

Structural model:
a b c (Å): 5.0813 5.0813 5.0813
angles (deg): 60.00 60.00 60.00
Fractional coordinates of all 6 atoms:
1 Fe 0.0000 0.0000 0.0000
2 Ag 0.7500 0.7500 0.7500
3 P 0.3736 0.3736 0.3736
4 P 0.3736 0.3736 0.8792
5 P 0.3736 0.8792 0.3736
6 P 0.8792 0.3736 0.3736

Most intense lines, 2θ from 15° to 90°, low angle first:
Position (°2θ)	I/Imax
21.42	25
24.78	9
35.33	69
41.69	100
43.63	15
63.41	23
67.76	29
74.73	20
85.45	10
89.41	11

# 3
This entry pairs a crystal structure of Ac4SnRu with its calculated powder X-ray diffraction pattern. Radiation: Cu Kα (weighted mean of Kα1 and Kα2). Structure: the GGA-PBE geometry in Alexandria.

Structural model:
a b c (Å): 6.7606 7.4206 8.7235
angles (deg): 90.00 93.91 90.00
Fractional coordinates of all 12 atoms:
1 Ac 0.0922 0.2500 0.0863
2 Ac 0.1539 0.7500 0.3811
3 Ac 0.4035 0.5035 0.7838
4 Ac 0.4035 0.9965 0.7838
5 Ac 0.5965 0.0035 0.2162
6 Ac 0.5965 0.4965 0.2162
7 Ac 0.8461 0.2500 0.6189
8 Ac 0.9078 0.7500 0.9137
9 Sn 0.3007 0.2500 0.4522
10 Sn 0.6993 0.7500 0.5478
11 Ru 0.3114 0.7500 0.0667
12 Ru 0.6886 0.2500 0.9333

Most intense lines, 2θ from 15° to 90°, low angle first:
Position (°2θ)	I/Imax
25.10	41
27.44	81
27.71	69
27.87	38
29.01	100
31.49	52
31.69	76
32.76	65
44.63	28
49.11	39

# 4
This entry pairs a crystal structure of Cs2TbTe2O6 with its calculated powder X-ray diffraction pattern. Radiation: Cu Kα (weighted mean of Kα1 and Kα2). Structure: the GGA-PBE geometry in Alexandria.

Structural model:
a b c (Å): 6.1184 6.1184 7.6338
angles (deg): 106.97 106.97 65.47
Fractional coordinates of all 11 atoms:
1 Cs 0.2022 0.2022 0.1407
2 Cs 0.7978 0.7978 0.8593
3 Tb 0.0000 0.0000 0.5000
4 Te 0.4168 0.4168 0.7405
5 Te 0.5832 0.5832 0.2595
6 O 0.2339 0.7425 0.2793
7 O 0.2351 0.2351 0.5552
8 O 0.2575 0.7661 0.7207
9 O 0.7425 0.2339 0.2793
10 O 0.7649 0.7649 0.4448
11 O 0.7661 0.2575 0.7207

Most intense lines, 2θ from 15° to 90°, low angle first:
Position (°2θ)	I/Imax
25.59	34
26.97	100
29.46	54
37.50	24
44.31	10
47.63	19
49.17	26
51.55	11
55.57	10
60.08	10

# 5
This entry pairs a crystal structure of YTh2Hg4 with its calculated powder X-ray diffraction pattern. Radiation: Cu Kα (weighted mean of Kα1 and Kα2). Structure: the GGA-PBE geometry in Alexandria.

Structural model:
a b c (Å): 5.1682 5.1682 15.0166
angles (deg): 90.00 90.00 90.00
Fractional coordinates of all 14 atoms:
1 Y 0.0000 0.0000 0.0000
2 Y 0.5000 0.5000 0.5000
3 Th 0.0000 0.0000 0.2586
4 Th 0.0000 0.0000 0.7414
5 Th 0.5000 0.5000 0.2414
6 Th 0.5000 0.5000 0.7586
7 Hg 0.0000 0.5000 0.1092
8 Hg 0.0000 0.5000 0.3908
9 Hg 0.0000 0.5000 0.6092
10 Hg 0.0000 0.5000 0.8908
11 Hg 0.5000 0.0000 0.1092
12 Hg 0.5000 0.0000 0.3908
13 Hg 0.5000 0.0000 0.6092
14 Hg 0.5000 0.0000 0.8908

Most intense lines, 2θ from 15° to 90°, low angle first:
Position (°2θ)	I/Imax
27.14	29
34.24	100
34.71	54
49.91	20
50.78	13
61.01	14
61.92	37
67.43	9
83.69	9
88.40	9

# 6
This entry pairs a crystal structure of LiNi3Sn2 with its calculated powder X-ray diffraction pattern. Radiation: Cu Kα (weighted mean of Kα1 and Kα2). Structure: the GGA-PBE geometry in Alexandria.

Structural model:
a b c (Å): 9.2161 5.3416 4.1334
angles (deg): 90.00 90.14 90.00
Fractional coordinates of all 12 atoms:
1 Li 0.0000 0.0000 0.0000
2 Li 0.5000 0.5000 0.0000
3 Ni 0.0000 0.5000 0.5000
4 Ni 0.2500 0.2500 0.5000
5 Ni 0.2500 0.7500 0.5000
6 Ni 0.5000 0.0000 0.5000
7 Ni 0.7500 0.2500 0.5000
8 Ni 0.7500 0.7500 0.5000
9 Sn 0.1669 0.5000 0.0000
10 Sn 0.3331 0.0000 0.0000
11 Sn 0.6669 0.0000 0.0000
12 Sn 0.8331 0.5000 0.0000

Most intense lines, 2θ from 15° to 90°, low angle first:
Position (°2θ)	I/Imax
19.22	100
33.65	17
40.22	61
40.33	30
43.80	24
44.95	54
48.24	18
64.56	15
70.55	11
70.76	15

# 7
This entry pairs a crystal structure of Hf3NbH3 with its calculated powder X-ray diffraction pattern. Radiation: Cu Kα (weighted mean of Kα1 and Kα2). Structure: the GGA-PBE geometry in Alexandria.

Structural model:
a b c (Å): 6.3792 6.3792 4.5402
angles (deg): 90.00 90.00 103.85
Fractional coordinates of all 14 atoms:
1 Hf 0.1203 0.8797 0.7500
2 Hf 0.1484 0.3919 0.7500
3 Hf 0.3919 0.1484 0.2500
4 Hf 0.6081 0.8516 0.7500
5 Hf 0.8516 0.6081 0.2500
6 Hf 0.8797 0.1203 0.2500
7 Nb 0.3619 0.6381 0.2500
8 Nb 0.6381 0.3619 0.7500
9 H 0.1540 0.8460 0.2500
10 H 0.1713 0.3475 0.2500
11 H 0.3475 0.1713 0.7500
12 H 0.6525 0.8287 0.2500
13 H 0.8287 0.6525 0.7500
14 H 0.8460 0.1540 0.7500

Most intense lines, 2θ from 15° to 90°, low angle first:
Position (°2θ)	I/Imax
35.07	100
35.76	25
39.70	19
46.15	11
54.49	15
59.72	10
62.47	9
63.81	17
69.09	17
74.12	10

# 8
This entry pairs a crystal structure of Zn3CdI8 with its calculated powder X-ray diffraction pattern. Radiation: Cu Kα (weighted mean of Kα1 and Kα2). Structure: the GGA-PBE geometry in Alexandria.

Structural model:
a b c (Å): 8.3349 8.3349 13.8369
angles (deg): 90.00 90.00 120.00
Fractional coordinates of all 24 atoms:
1 Zn 0.1709 0.3418 0.0000
2 Zn 0.1709 0.8291 0.0000
3 Zn 0.3418 0.1709 0.5000
4 Zn 0.6582 0.8291 0.0000
5 Zn 0.8291 0.1709 0.5000
6 Zn 0.8291 0.6582 0.5000
7 Cd 0.3333 0.6667 0.2590
8 Cd 0.6667 0.3333 0.7590
9 I 0.0000 0.0000 0.1067
10 I 0.0000 0.0000 0.6067
11 I 0.0083 0.5042 0.1182
12 I 0.1595 0.3190 0.3780
13 I 0.1595 0.8405 0.3780
14 I 0.3190 0.1595 0.8780
15 I 0.3333 0.6667 0.8821
16 I 0.4958 0.5042 0.1182
17 I 0.4958 0.9917 0.1182
18 I 0.5042 0.0083 0.6182
19 I 0.5042 0.4958 0.6182
20 I 0.6667 0.3333 0.3821
21 I 0.6810 0.8405 0.3780
22 I 0.8405 0.1595 0.8780
23 I 0.8405 0.6810 0.8780
24 I 0.9917 0.4958 0.6182

Most intense lines, 2θ from 15° to 90°, low angle first:
Position (°2θ)	I/Imax
25.75	16
27.88	100
31.47	49
35.96	16
41.10	27
43.43	46
46.75	22
51.18	14
52.40	17
70.80	18